No. 1
Ba2LiCuP2: computed X-ray powder pattern (Cu Kα), based on a structure optimized by DFT (GGA-PBE).

Structure:
```
data_Ba2LiCuP2
_chemical_formula_sum 'Ba2 Li1 Cu1 P2'
_cell_length_a 4.3644
_cell_length_b 4.3644
_cell_length_c 8.9360
_cell_angle_alpha 90.00
_cell_angle_beta 90.00
_cell_angle_gamma 120.00
_symmetry_space_group_name_H-M 'P -6 m 2'
_symmetry_Int_Tables_number 187
_symmetry_space_group_name_Hall 'P -6 2'
loop_
_atom_site_label
_atom_site_fract_x
_atom_site_fract_y
_atom_site_fract_z
Ba1 0.0000 0.0000 0.2501
Li1 0.3333 0.6667 0.0000
Cu1 0.6667 0.3333 0.5000
P1 0.3333 0.6667 0.5000
P2 0.6667 0.3333 0.0000
```

Most intense lines, 2θ = 10–90°, most intense first:
2θ 30.99, rel. 100.0, hkl 1 0 2
2θ 23.54, rel. 35.8, hkl 1 0 0
2θ 41.38, rel. 31.4, hkl 1 1 0
2θ 52.58, rel. 21.8, hkl 2 0 2
2θ 59.19, rel. 21.3, hkl 1 1 4
2θ 69.02, rel. 19.3, hkl 2 1 2



No. 2
CsTbF5: computed X-ray powder pattern (Cu Kα), based on a structure optimized by DFT (GGA-PBE).

Structure:
```
data_CsTbF5
_chemical_formula_sum 'Cs8 Tb8 F40'
_cell_length_a 13.050
_cell_length_b 8.279
_cell_length_c 8.276
_cell_angle_alpha 90.00
_cell_angle_beta 90.00
_cell_angle_gamma 90.00
_symmetry_space_group_name_H-M 'C m c e'
_symmetry_Int_Tables_number 64
_symmetry_space_group_name_Hall '-C 2ac 2'
loop_
_atom_site_label
_atom_site_fract_x
_atom_site_fract_y
_atom_site_fract_z
Cs1 0.198 0.000 0.000
Tb1 0.000 0.162 0.338
F1 0.000 0.071 0.795
F2 0.000 0.205 0.071
F3 0.094 0.000 0.500
F4 0.165 0.216 0.287
```

Most intense lines, 2θ = 10–90°, most intense first:
2θ 25.50, rel. 100.0, hkl 2 0 2
2θ 49.29, rel. 51.2, hkl 5 3 1
2θ 25.01, rel. 35.4, hkl 1 1 2
2θ 30.55, rel. 28.5, hkl 0 2 2
2θ 51.32, rel. 23.7, hkl 3 3 3
2θ 24.04, rel. 22.1, hkl 0 2 1



No. 3
Sr2YPtS6: computed X-ray powder pattern (Cu Kα), based on a structure optimized by DFT (GGA-PBE).

Structure:
```
data_Sr2YPtS6
_chemical_formula_sum 'Sr2 Y1 Pt1 S6'
_cell_length_a 6.253
_cell_length_b 6.796
_cell_length_c 6.894
_cell_angle_alpha 66.39
_cell_angle_beta 65.33
_cell_angle_gamma 65.74
_symmetry_space_group_name_H-M 'P -1'
_symmetry_Int_Tables_number 2
_symmetry_space_group_name_Hall '-P 1'
loop_
_atom_site_label
_atom_site_fract_x
_atom_site_fract_y
_atom_site_fract_z
Sr1 0.245 0.215 0.256
Y1 0.500 0.500 0.500
Pt1 0.000 0.000 0.000
S1 0.126 0.332 0.787
S2 0.243 0.851 0.681
S3 0.341 0.782 0.150
```

Most intense lines, 2θ = 10–90°, most intense first:
2θ 25.20, rel. 100.0, hkl 1 0 -1
2θ 23.74, rel. 58.5, hkl 0 1 -1
2θ 37.26, rel. 53.4, hkl 2 0 2
2θ 26.21, rel. 52.2, hkl 1 1 2
2θ 26.56, rel. 50.9, hkl 1 2 1
2θ 28.60, rel. 47.7, hkl 2 1 1



No. 4
Lu3Cu4Si2Ge2: computed X-ray powder pattern (Cu Kα), based on a structure optimized by DFT (GGA-PBE).

Structure:
```
data_Lu3Cu4Si2Ge2
_chemical_formula_sum 'Lu6 Cu8 Si4 Ge4'
_cell_length_a 4.077
_cell_length_b 6.557
_cell_length_c 13.610
_cell_angle_alpha 90.00
_cell_angle_beta 90.00
_cell_angle_gamma 90.00
_symmetry_space_group_name_H-M 'I m m m'
_symmetry_Int_Tables_number 71
_symmetry_space_group_name_Hall '-I 2 2'
loop_
_atom_site_label
_atom_site_fract_x
_atom_site_fract_y
_atom_site_fract_z
Lu1 0.000 0.000 0.000
Lu2 0.000 0.500 0.129
Cu1 0.000 0.308 0.326
Si1 0.000 0.000 0.217
Ge1 0.000 0.195 0.500
```

Most intense lines, 2θ = 10–90°, most intense first:
2θ 35.75, rel. 100.0, hkl 1 2 1
2θ 37.04, rel. 73.5, hkl 1 1 4
2θ 46.10, rel. 29.2, hkl 0 3 3
2θ 44.45, rel. 27.1, hkl 2 0 0
2θ 65.95, rel. 23.6, hkl 2 3 3
2θ 39.77, rel. 22.6, hkl 0 0 6



No. 5
ZrScSe2Br2: computed X-ray powder pattern (Cu Kα), based on a structure optimized by DFT (GGA-PBE).

Structure:
```
data_ZrScSe2Br2
_chemical_formula_sum 'Zr1 Sc1 Se2 Br2'
_cell_length_a 3.764
_cell_length_b 5.375
_cell_length_c 8.258
_cell_angle_alpha 90.00
_cell_angle_beta 90.00
_cell_angle_gamma 90.00
_symmetry_space_group_name_H-M 'P m m 2'
_symmetry_Int_Tables_number 25
_symmetry_space_group_name_Hall 'P 2 -2'
loop_
_atom_site_label
_atom_site_fract_x
_atom_site_fract_y
_atom_site_fract_z
Zr1 0.000 0.000 0.000
Sc1 0.500 0.500 0.226
Se1 0.000 0.500 0.987
Se2 0.500 0.000 0.238
Br1 0.000 0.500 0.455
Br2 0.500 0.000 0.759
```

Most intense lines, 2θ = 10–90°, most intense first:
2θ 32.18, rel. 100.0, hkl 1 0 2
2θ 47.01, rel. 67.2, hkl 1 2 2
2θ 10.71, rel. 54.9, hkl 0 0 1
2θ 33.34, rel. 47.7, hkl 0 2 0
2θ 27.23, rel. 24.2, hkl 0 1 2
2θ 19.71, rel. 23.3, hkl 0 1 1



No. 6
DyAlAg2O4: computed X-ray powder pattern (Cu Kα), based on a structure optimized by DFT (GGA-PBE).

Structure:
```
data_DyAlAg2O4
_chemical_formula_sum 'Dy1 Al1 Ag2 O4'
_cell_length_a 3.1818
_cell_length_b 3.1818
_cell_length_c 12.5520
_cell_angle_alpha 90.00
_cell_angle_beta 90.00
_cell_angle_gamma 120.00
_symmetry_space_group_name_H-M 'P -3 m 1'
_symmetry_Int_Tables_number 164
_symmetry_space_group_name_Hall '-P 3 2"'
loop_
_atom_site_label
_atom_site_fract_x
_atom_site_fract_y
_atom_site_fract_z
Dy1 0.0000 0.0000 0.0000
Al1 0.0000 0.0000 0.5000
Ag1 0.3333 0.6667 0.2625
O1 0.3333 0.6667 0.0967
O2 0.3333 0.6667 0.4302
```

Most intense lines, 2θ = 10–90°, most intense first:
2θ 33.29, rel. 100.0, hkl 0 1 1
2θ 35.58, rel. 94.6, hkl 1 0 2
2θ 28.44, rel. 48.6, hkl 0 0 4
2θ 55.12, rel. 36.0, hkl 1 0 6
2θ 49.09, rel. 34.7, hkl 0 1 5
2θ 57.97, rel. 30.3, hkl 1 1 0